The following is a theoretical PXRD pattern of La2MgFe2O6. It was derived from a PBE+U-relaxed structure, using copper Kα.
Neutral-atom scattering factors, no anomalous dispersion.

Cell and atoms:
Lattice parameters (Å, degrees): 5.4701 5.7795 5.9635 108.78 109.10 100.56
Space group P1 (No. 1)
Inequivalent atoms, fractional coordinates:
La  0.0000  0.0000  0.0000 (multiplicity 1)
La  0.3536  0.5077  0.8094 (multiplicity 1)
Mg  0.6921  0.7683  0.3971 (multiplicity 1)
Fe  0.1869  0.7428  0.3899 (multiplicity 1)
Fe  0.6814  0.2650  0.3829 (multiplicity 1)
O  0.3770  0.4024  0.2124 (multiplicity 1)
O  0.4068  0.8971  0.1881 (multiplicity 1)
O  0.5463  0.8559  0.6941 (multiplicity 1)
O  0.8263  0.6422  0.0896 (multiplicity 1)
O  0.9634  0.6309  0.6045 (multiplicity 1)
O  0.9869  0.1194  0.5258 (multiplicity 1)

The 10 most intense peaks (10 to 90 degrees two-theta), in order of rising 2θ:
2theta  Rel. int.
18.67  273
20.56  305
26.65  1000
28.86  525
31.66  473
31.92  566
32.05  479
33.40  400
43.80  256
45.22  286

The following is a theoretical PXRD pattern of Li5Fe8B8O24. It was derived from a PBE+U-relaxed structure, using copper Kα.
Neutral-atom scattering factors, no anomalous dispersion.

Cell and atoms:
Lattice parameters (Å, degrees): 5.2514 9.1291 10.1416 88.10 89.25 89.15
Space group P1 (No. 1)
Inequivalent atoms, fractional coordinates:
Li  0.0000  0.0000  0.0000 (multiplicity 1)
Li  0.0149  0.9937  0.4834 (multiplicity 1)
Li  0.3368  0.3412  0.2323 (multiplicity 1)
Li  0.5129  0.4990  0.9701 (multiplicity 1)
Li  0.8556  0.8362  0.7332 (multiplicity 1)
Fe  0.0253  0.3317  0.9544 (multiplicity 1)
Fe  0.3462  0.6670  0.7045 (multiplicity 1)
Fe  0.3530  0.0064  0.2087 (multiplicity 1)
Fe  0.5119  0.1681  0.4600 (multiplicity 1)
Fe  0.5130  0.8277  0.9616 (multiplicity 1)
Fe  0.8402  0.5109  0.2129 (multiplicity 1)
Fe  0.8516  0.1743  0.7140 (multiplicity 1)
Fe  0.9931  0.6638  0.4570 (multiplicity 1)
B  0.0039  0.3278  0.4465 (multiplicity 1)
B  0.0124  0.6681  0.9535 (multiplicity 1)
B  0.3397  0.6639  0.2033 (multiplicity 1)
B  0.3472  0.9932  0.6972 (multiplicity 1)
B  0.5094  0.8423  0.4661 (multiplicity 1)
B  0.5167  0.1677  0.9613 (multiplicity 1)
B  0.8486  0.1782  0.2105 (multiplicity 1)
B  0.8486  0.5061  0.7149 (multiplicity 1)
O  0.0867  0.9956  0.6896 (multiplicity 1)
O  0.0881  0.6575  0.2478 (multiplicity 1)
O  0.2637  0.3191  0.4314 (multiplicity 1)
O  0.2665  0.6519  0.9121 (multiplicity 1)
O  0.3631  0.7242  0.5097 (multiplicity 1)
O  0.3753  0.9714  0.4231 (multiplicity 1)
O  0.3805  0.0398  0.9920 (multiplicity 1)
O  0.4012  0.3029  0.9707 (multiplicity 1)
O  0.4472  0.7942  0.1665 (multiplicity 1)
O  0.4768  0.5321  0.1920 (multiplicity 1)
O  0.4774  0.8651  0.7433 (multiplicity 1)
O  0.4935  0.1114  0.6540 (multiplicity 1)
O  0.5890  0.5179  0.7265 (multiplicity 1)
O  0.5940  0.1824  0.2561 (multiplicity 1)
O  0.7684  0.8416  0.4684 (multiplicity 1)
O  0.7761  0.1569  0.9262 (multiplicity 1)
O  0.8696  0.4556  0.4112 (multiplicity 1)
O  0.8732  0.2035  0.4920 (multiplicity 1)
O  0.8852  0.5459  0.0070 (multiplicity 1)
O  0.8923  0.8026  0.9364 (multiplicity 1)
O  0.9660  0.3126  0.1752 (multiplicity 1)
O  0.9763  0.3789  0.7471 (multiplicity 1)
O  0.9790  0.0507  0.1971 (multiplicity 1)
O  0.9840  0.6328  0.6733 (multiplicity 1)

The 10 most intense peaks (10 to 90 degrees two-theta), in order of rising 2θ:
2theta  Rel. int.
19.42  396
19.63  670
21.51  988
21.63  426
25.85  626
33.85  291
34.15  346
34.29  375
35.43  1000
40.14  267

The following is a theoretical PXRD pattern of PrMoO5. It was derived from a PBE+U-relaxed structure, using copper Kα.
Neutral-atom scattering factors, no anomalous dispersion.

Cell and atoms:
Lattice parameters (Å, degrees): 5.5349 12.9416 7.2347 90.00 115.87 90.00
Space group P2_1/c (No. 14)
Inequivalent atoms, fractional coordinates:
Pr  0.1473  0.0576  0.2856 (multiplicity 4)
Mo  0.4069  0.1357  0.8518 (multiplicity 4)
O  0.0057  0.0774  0.5537 (multiplicity 4)
O  0.2081  0.0663  0.9612 (multiplicity 4)
O  0.2768  0.6493  0.4328 (multiplicity 4)
O  0.2923  0.2350  0.2853 (multiplicity 4)
O  0.4940  0.5715  0.8359 (multiplicity 4)

The 10 most intense peaks (10 to 90 degrees two-theta), in order of rising 2θ:
2theta  Rel. int.
13.68  1000
19.10  737
21.93  810
25.33  530
26.26  494
26.86  599
27.37  918
27.76  527
30.27  522
33.16  492